This entry pairs a crystal structure of Ba3Ru2O7 with its theoretical X-ray powder pattern. Radiation: copper Kα. Structure: a DFT-relaxed cell (PBE, Alexandria).
Lines closer than 0.1° are merged.

Crystal structure
```
data_Ba3Ru2O7
_chemical_formula_sum 'Ba6 Ru4 O14'
_cell_length_a 4.0962
_cell_length_b 4.0962
_cell_length_c 21.4705
_cell_angle_alpha 90.00
_cell_angle_beta 90.00
_cell_angle_gamma 90.00
_symmetry_space_group_name_H-M 'I 4/m m m'
_symmetry_Int_Tables_number 139
_symmetry_space_group_name_Hall '-I 4 2'
loop_
_atom_site_label
_atom_site_fract_x
_atom_site_fract_y
_atom_site_fract_z
Ba1 0.0000 0.0000 0.0000
Ba2 0.0000 0.0000 0.1830
Ru1 0.0000 0.0000 0.4048
O1 0.0000 0.0000 0.3106
O2 0.0000 0.0000 0.5000
O3 0.0000 0.5000 0.0950
```

Top 8 peaks for 10 to 80 degrees two-theta, low angle first:
30.15°, rel. 100
30.87°, rel. 61
40.05°, rel. 11
42.08°, rel. 12
44.22°, rel. 33
53.10°, rel. 15
54.46°, rel. 38
62.69°, rel. 13

This entry pairs a crystal structure of BaRu2SeO with its theoretical X-ray powder pattern. Radiation: copper Kα. Structure: a DFT-relaxed cell (PBE, Alexandria).
Lines closer than 0.1° are merged.

Crystal structure
```
data_BaRu2SeO
_chemical_formula_sum 'Ba1 Ru2 Se1 O1'
_cell_length_a 4.5226
_cell_length_b 4.5226
_cell_length_c 5.4164
_cell_angle_alpha 90.00
_cell_angle_beta 90.00
_cell_angle_gamma 90.00
_symmetry_space_group_name_H-M 'P 4/m m m'
_symmetry_Int_Tables_number 123
_symmetry_space_group_name_Hall '-P 4 2'
loop_
_atom_site_label
_atom_site_fract_x
_atom_site_fract_y
_atom_site_fract_z
Ba1 0.0000 0.0000 0.0000
Ru1 0.0000 0.5000 0.5000
Se1 0.5000 0.5000 0.5000
O1 0.5000 0.5000 0.0000
```

Top 8 peaks for 10 to 80 degrees two-theta, low angle first:
16.37°, rel. 35
25.66°, rel. 91
32.51°, rel. 100
33.08°, rel. 59
39.87°, rel. 70
48.02°, rel. 33
52.74°, rel. 61
68.10°, rel. 28

This entry pairs a crystal structure of BaRuSeO2 with its theoretical X-ray powder pattern. Radiation: copper Kα. Structure: a DFT-relaxed cell (PBE, Alexandria).
Lines closer than 0.1° are merged.

Crystal structure
```
data_BaRuSeO2
_chemical_formula_sum 'Ba1 Ru1 Se1 O2'
_cell_length_a 3.9745
_cell_length_b 3.9745
_cell_length_c 6.2721
_cell_angle_alpha 90.00
_cell_angle_beta 90.00
_cell_angle_gamma 90.00
_symmetry_space_group_name_H-M 'P 4 m m'
_symmetry_Int_Tables_number 99
_symmetry_space_group_name_Hall 'P 4 -2'
loop_
_atom_site_label
_atom_site_fract_x
_atom_site_fract_y
_atom_site_fract_z
Ba1 0.0000 0.0000 0.0000
Ru1 0.5000 0.5000 0.3491
Se1 0.5000 0.5000 0.7281
O1 0.0000 0.5000 0.2887
```

Top 8 peaks for 10 to 80 degrees two-theta, low angle first:
26.55°, rel. 100
31.84°, rel. 59
36.50°, rel. 67
43.26°, rel. 18
45.65°, rel. 33
53.59°, rel. 28
54.72°, rel. 26
59.81°, rel. 31

This entry pairs a crystal structure of Ba2SrRuO5 with its theoretical X-ray powder pattern. Radiation: copper Kα. Structure: a DFT-relaxed cell (PBE, Alexandria).
Lines closer than 0.1° are merged.

Crystal structure
```
data_Ba2SrRuO5
_chemical_formula_sum 'Ba4 Sr2 Ru2 O10'
_cell_length_a 3.8435
_cell_length_b 6.1288
_cell_length_c 12.6892
_cell_angle_alpha 90.00
_cell_angle_beta 90.00
_cell_angle_gamma 90.00
_symmetry_space_group_name_H-M 'I m m m'
_symmetry_Int_Tables_number 71
_symmetry_space_group_name_Hall '-I 2 2'
loop_
_atom_site_label
_atom_site_fract_x
_atom_site_fract_y
_atom_site_fract_z
Ba1 0.0000 0.0000 0.2126
Sr1 0.0000 0.5000 0.0000
Ru1 0.0000 0.5000 0.5000
O1 0.0000 0.0000 0.0000
O2 0.0000 0.2555 0.3842
```

Top 8 peaks for 10 to 80 degrees two-theta, low angle first:
16.06°, rel. 14
28.13°, rel. 17
29.14°, rel. 28
30.87°, rel. 100
38.39°, rel. 12
40.95°, rel. 25
47.30°, rel. 13
52.76°, rel. 22

This entry pairs a crystal structure of Ba2TbRu3O12 with its theoretical X-ray powder pattern. Radiation: copper Kα. Structure: a DFT-relaxed cell (PBE, Alexandria).
Lines closer than 0.1° are merged.

Crystal structure
```
data_Ba2TbRu3O12
_chemical_formula_sum 'Ba6 Tb3 Ru9 O36'
_cell_length_a 7.3433
_cell_length_b 7.3433
_cell_length_c 16.6492
_cell_angle_alpha 90.00
_cell_angle_beta 90.00
_cell_angle_gamma 120.00
_symmetry_space_group_name_H-M 'R -3 m'
_symmetry_Int_Tables_number 166
_symmetry_space_group_name_Hall '-R 3 2"'
loop_
_atom_site_label
_atom_site_fract_x
_atom_site_fract_y
_atom_site_fract_z
Ba1 0.0000 0.0000 0.1180
Tb1 0.0000 0.0000 0.5000
Ru1 0.0000 0.5000 0.0000
O1 0.0111 0.5056 0.8849
O2 0.0750 0.5375 0.3276
```

Top 8 peaks for 10 to 80 degrees two-theta, low angle first:
24.24°, rel. 31
28.58°, rel. 44
29.16°, rel. 100
30.08°, rel. 54
30.30°, rel. 52
45.83°, rel. 39
49.66°, rel. 47
52.55°, rel. 30

This entry pairs a crystal structure of Ba4TbRu3O12 with its theoretical X-ray powder pattern. Radiation: copper Kα. Structure: a DFT-relaxed cell (PBE, Alexandria).
Lines closer than 0.1° are merged.

Crystal structure
```
data_Ba4TbRu3O12
_chemical_formula_sum 'Ba12 Tb3 Ru9 O36'
_cell_length_a 5.9526
_cell_length_b 5.9526
_cell_length_c 29.5657
_cell_angle_alpha 90.00
_cell_angle_beta 90.00
_cell_angle_gamma 120.00
_symmetry_space_group_name_H-M 'R -3 m'
_symmetry_Int_Tables_number 166
_symmetry_space_group_name_Hall '-R 3 2"'
loop_
_atom_site_label
_atom_site_fract_x
_atom_site_fract_y
_atom_site_fract_z
Ba1 0.0000 0.0000 0.1295
Ba2 0.0000 0.0000 0.2849
Tb1 0.0000 0.0000 0.0000
Ru1 0.0000 0.0000 0.4137
Ru2 0.0000 0.0000 0.5000
O1 0.0186 0.5093 0.2895
O2 0.0228 0.5114 0.1244
```

Top 8 peaks for 10 to 80 degrees two-theta, low angle first:
27.30°, rel. 62
29.74°, rel. 17
30.02°, rel. 100
34.99°, rel. 15
41.02°, rel. 36
51.66°, rel. 21
53.31°, rel. 20
62.40°, rel. 19